No. 1
Starting from the GGA-PBE geometry in Alexandria, the powder diffractogram of Na3HoSb2Se6 was computed for Cu Ka.

Atomic structure:
```
data_Na3HoSb2Se6
_chemical_formula_sum 'Na6 Ho2 Sb4 Se12'
_symmetry_space_group_name_H-M 'C 1 2/m 1'
_symmetry_Int_Tables_number 12
_cell_length_a 7.2049
_cell_length_b 12.4844
_cell_length_c 7.4239
_cell_angle_alpha 90.00
_cell_angle_beta 108.86
_cell_angle_gamma 90.00
loop_
_symmetry_equiv_pos_as_xyz
'x,y,z'
'-x,-y,-z'
'-x,y,-z'
'x,-y,z'
'x+1/2,y+1/2,z'
'-x+1/2,-y+1/2,-z'
'-x+1/2,y+1/2,-z'
'x+1/2,-y+1/2,z'
loop_
_atom_site_label
_atom_site_fract_x
_atom_site_fract_y
_atom_site_fract_z
Na1 0.0000 0.0000 0.0000
Na2 0.0000 0.3283 0.0000
Ho1 0.0000 0.5000 0.5000
Sb1 0.0000 0.1660 0.5000
Se1 0.2416 0.3347 0.7293
Se2 0.2461 0.0000 0.7309
```

Largest 10 diffraction maxima, in order of falling intensity, 5 to 70 degrees two-theta:
2θ 30.05, I 100
2θ 12.60, I 43
2θ 42.51, I 37
2θ 43.50, I 36
2θ 53.77, I 19
2θ 25.07, I 17
2θ 38.98, I 12
2θ 62.45, I 11
2θ 45.47, I 11
2θ 52.07, I 6

***

No. 2
Starting from the GGA-PBE geometry in Alexandria, the powder diffractogram of Na3Ho2ThSe6 was computed for Cu Ka.

Atomic structure:
```
data_Na3Ho2ThSe6
_chemical_formula_sum 'Na6 Ho4 Th2 Se12'
_symmetry_space_group_name_H-M 'C 1 2/m 1'
_symmetry_Int_Tables_number 12
_cell_length_a 18.4954
_cell_length_b 4.1250
_cell_length_c 8.5686
_cell_angle_alpha 90.00
_cell_angle_beta 105.50
_cell_angle_gamma 90.00
loop_
_symmetry_equiv_pos_as_xyz
'x,y,z'
'-x,-y,-z'
'-x,y,-z'
'x,-y,z'
'x+1/2,y+1/2,z'
'-x+1/2,-y+1/2,-z'
'-x+1/2,y+1/2,-z'
'x+1/2,-y+1/2,z'
loop_
_atom_site_label
_atom_site_fract_x
_atom_site_fract_y
_atom_site_fract_z
Na1 0.0000 0.0000 0.0000
Na2 0.1670 0.5000 0.3303
Ho1 0.1687 0.5000 0.8385
Th1 0.0000 0.0000 0.5000
Se1 0.0052 0.5000 0.7509
Se2 0.1645 0.0000 0.5973
Se3 0.1710 0.0000 0.0721
```

Largest 10 diffraction maxima, in order of falling intensity, 5 to 70 degrees two-theta:
2θ 30.08, I 100
2θ 12.52, I 58
2θ 42.48, I 25
2θ 43.64, I 24
2θ 25.22, I 18
2θ 54.12, I 17
2θ 38.91, I 14
2θ 42.22, I 13
2θ 62.53, I 12
2θ 43.90, I 12

***

No. 3
Starting from the GGA-PBE geometry in Alexandria, the powder diffractogram of Na3Ho3TiSe8 was computed for Cu Ka.

Atomic structure:
```
data_Na3Ho3TiSe8
_chemical_formula_sum 'Na9 Ho9 Ti3 Se24'
_symmetry_space_group_name_H-M 'R -3 m'
_symmetry_Int_Tables_number 166
_symmetry_space_group_name_Hall '-R 3 2"'
_cell_length_a 8.0608
_cell_length_b 8.0608
_cell_length_c 21.2915
_cell_angle_alpha 90.00
_cell_angle_beta 90.00
_cell_angle_gamma 120.00
loop_
_atom_site_label
_atom_site_fract_x
_atom_site_fract_y
_atom_site_fract_z
Na1 0.0000 0.5000 0.0000
Ho1 0.0000 0.5000 0.5000
Ti1 0.0000 0.0000 0.5000
Se1 0.0000 0.0000 0.2435
Se2 0.0243 0.5122 0.2381
```

Largest 10 diffraction maxima, in order of falling intensity, 5 to 70 degrees two-theta:
2θ 30.63, I 100
2θ 12.47, I 65
2θ 42.72, I 35
2θ 44.98, I 34
2θ 39.29, I 19
2θ 25.87, I 18
2θ 55.40, I 18
2θ 46.87, I 14
2θ 54.18, I 10
2θ 63.77, I 10

***

No. 4
Starting from the GGA-PBE geometry in Alexandria, the powder diffractogram of NaSmHo was computed for Cu Ka.

Atomic structure:
```
data_NaSmHo
_chemical_formula_sum 'Na4 Sm4 Ho4'
_symmetry_space_group_name_H-M 'C 1 2/m 1'
_symmetry_Int_Tables_number 12
_cell_length_a 21.0109
_cell_length_b 3.5073
_cell_length_c 5.5850
_cell_angle_alpha 90.00
_cell_angle_beta 90.01
_cell_angle_gamma 90.00
loop_
_symmetry_equiv_pos_as_xyz
'x,y,z'
'-x,-y,-z'
'-x,y,-z'
'x,-y,z'
'x+1/2,y+1/2,z'
'-x+1/2,-y+1/2,-z'
'-x+1/2,y+1/2,-z'
'x+1/2,-y+1/2,z'
loop_
_atom_site_label
_atom_site_fract_x
_atom_site_fract_y
_atom_site_fract_z
Na1 0.2076 0.0000 0.2491
Sm1 0.1057 0.5000 0.7497
Ho1 0.0408 0.0000 0.2504
```

Largest 10 diffraction maxima, in order of falling intensity, 5 to 70 degrees two-theta:
2θ 8.42, I 100
2θ 30.12, I 41
2θ 32.75, I 40
2θ 33.25, I 25
2θ 30.39, I 22
2θ 32.05, I 22
2θ 37.85, I 15
2θ 28.46, I 14
2θ 46.87, I 13
2θ 61.42, I 11